Calculated X-ray diffraction stick pattern
Compound: LiFe3Bi
Radiation: a wavelength of 1.5418 Å
Structure: a structure optimized by DFT (GGA-PBE)
No peak broadening, texture or thermal motion is included.

Crystal structure
```
data_LiFe3Bi
_cell_length_a 4.264
_cell_length_b 4.264
_cell_length_c 4.264
_cell_angle_alpha 90.00
_cell_angle_beta 90.00
_cell_angle_gamma 90.00
_symmetry_space_group_name_H-M 'P m -3 m'
_symmetry_Int_Tables_number 221
_symmetry_space_group_name_Hall '-P 4 2 3'
loop_
_atom_site_label
_atom_site_type_symbol
_atom_site_fract_x
_atom_site_fract_y
_atom_site_fract_z
Li1 Li 0.000 0.000 0.000
Fe1 Fe 0.000 0.000 0.500
Bi1 Bi 0.500 0.500 0.500
```

The 10 most intense peaks (10° ≤ 2θ ≤ 90°), low angle first:
h k l  2θ (°)  d (Å)  intensity
1 0 0  20.8  4.264  406
1 1 0  29.6  3.015  413
1 1 1  36.5  2.462  1000
2 0 0  42.4  2.132  518
2 1 0  47.7  1.907  210
2 1 1  52.6  1.741  184
2 2 0  61.5  1.508  334
3 0 0  65.7  1.421  108
3 1 1  73.7  1.286  369
2 2 2  77.6  1.231  113

=====

Calculated X-ray diffraction stick pattern
Compound: PrSm7Hg2
Radiation: a wavelength of 1.5418 Å
Structure: a structure optimized by DFT (GGA-PBE)
No peak broadening, texture or thermal motion is included.

Crystal structure
```
data_PrSm7Hg2
_cell_length_a 9.210
_cell_length_b 15.535
_cell_length_c 5.428
_cell_angle_alpha 90.00
_cell_angle_beta 90.00
_cell_angle_gamma 90.00
_symmetry_space_group_name_H-M 'C m m m'
_symmetry_Int_Tables_number 65
_symmetry_space_group_name_Hall '-C 2 2'
loop_
_atom_site_label
_atom_site_type_symbol
_atom_site_fract_x
_atom_site_fract_y
_atom_site_fract_z
Pr1 Pr 0.000 0.000 0.000
Sm1 Sm 0.000 0.236 0.000
Sm2 Sm 0.000 0.500 0.500
Sm3 Sm 0.182 0.121 0.500
Hg1 Hg 0.000 0.306 0.500
```

The 10 most intense peaks (10° ≤ 2θ ≤ 90°), low angle first:
h k l  2θ (°)  d (Å)  intensity
0 0 1  16.3  5.428  765
2 0 0  19.3  4.605  372
1 1 1  19.8  4.478  302
0 4 1  28.3  3.158  545
2 4 0  30.1  2.969  767
0 0 2  33.0  2.714  712
3 1 1  34.0  2.635  996
1 5 1  34.7  2.588  1000
2 4 2  45.3  2.003  538
5 5 1  60.9  1.521  287

=====

Calculated X-ray diffraction stick pattern
Compound: Sr2CaPt
Radiation: a wavelength of 1.5418 Å
Structure: a structure optimized by DFT (GGA-PBE)
No peak broadening, texture or thermal motion is included.

Crystal structure
```
data_Sr2CaPt
_cell_length_a 3.761
_cell_length_b 4.780
_cell_length_c 16.523
_cell_angle_alpha 90.00
_cell_angle_beta 90.00
_cell_angle_gamma 90.00
_symmetry_space_group_name_H-M 'I m m m'
_symmetry_Int_Tables_number 71
_symmetry_space_group_name_Hall '-I 2 2'
loop_
_atom_site_label
_atom_site_type_symbol
_atom_site_fract_x
_atom_site_fract_y
_atom_site_fract_z
Sr1 Sr 0.000 0.000 0.157
Ca1 Ca 0.000 0.500 0.000
Pt1 Pt 0.000 0.500 0.500
```

The 10 most intense peaks (10° ≤ 2θ ≤ 90°), low angle first:
h k l  2θ (°)  d (Å)  intensity
0 0 2  10.7  8.262  846
0 1 1  19.3  4.591  1000
1 0 3  28.7  3.106  666
1 1 2  32.2  2.783  881
0 0 6  32.5  2.754  371
1 1 4  37.4  2.404  806
0 2 0  37.6  2.390  264
1 2 3  48.0  1.894  330
0 2 6  50.6  1.805  212
1 1 10  64.6  1.442  196

=====

Calculated X-ray diffraction stick pattern
Compound: TbHo4Te5
Radiation: a wavelength of 1.5418 Å
Structure: a structure optimized by DFT (GGA-PBE)
No peak broadening, texture or thermal motion is included.

Crystal structure
```
data_TbHo4Te5
_cell_length_a 9.700
_cell_length_b 9.700
_cell_length_c 6.151
_cell_angle_alpha 90.00
_cell_angle_beta 90.00
_cell_angle_gamma 90.00
_symmetry_space_group_name_H-M 'I 4'
_symmetry_Int_Tables_number 79
_symmetry_space_group_name_Hall 'I 4'
loop_
_atom_site_label
_atom_site_type_symbol
_atom_site_fract_x
_atom_site_fract_y
_atom_site_fract_z
Tb1 Tb 0.000 0.000 0.000
Ho1 Ho 0.103 0.296 0.503
Te1 Te 0.000 0.000 0.500
Te2 Te 0.098 0.304 0.003
```

The 10 most intense peaks (10° ≤ 2θ ≤ 90°), low angle first:
h k l  2θ (°)  d (Å)  intensity
2 1 1  25.1  3.545  32
0 0 2  29.1  3.070  1000
1 3 2  41.6  2.171  758
4 2 2  51.6  1.773  270
0 0 4  60.2  1.538  43
2 6 0  60.4  1.534  83
1 3 4  68.2  1.375  116
2 6 2  68.4  1.372  228
4 2 4  75.8  1.254  86
7 1 2  76.0  1.253  169